(1)
Sr5P3O12F: simulated powder diffractogram (Cu Kα (λ = 1.5418 Å)), based on DFT lattice parameters and positions (PBE).
No peak broadening, texture or thermal motion is included.

Atomic structure:
a b c (Å): 9.8499 9.8499 7.3592
angles (deg): 90.00 90.00 120.00
Space group P6_3/m (No. 176)
Unique sites:
Sr  0.0114  0.2533  0.2500
Sr  0.3333  0.6667  0.9996
P  0.0312  0.3991  0.7500
O  0.0836  0.3442  0.5789
O  0.1187  0.5820  0.7500
O  0.1498  0.6698  0.2500
F  0.0000  0.0000  0.2500

Main lines, in order of rising 2θ (2θ from 15° to 90°):
| two_theta | I (rel.) | index |
| --- | --- | --- |
| 26.4 | 18 | 1 0 2 |
| 27.7 | 17 | 2 1 0 |
| 30.3 | 100 | 1 1 2 |
| 31.5 | 32 | 3 0 0 |
| 44.3 | 19 | 2 2 2 |
| 45.6 | 14 | 1 3 2 |
| 46.5 | 21 | 2 1 3 |
| 48.1 | 13 | 3 2 1 |
| 48.9 | 13 | 1 4 0 |
| 49.4 | 16 | 4 0 2 |

***

(2)
TiPO4F: simulated powder diffractogram (Cu Kα (λ = 1.5418 Å)), based on DFT lattice parameters and positions (PBE).
No peak broadening, texture or thermal motion is included.

Atomic structure:
a b c (Å): 7.352 7.349 7.427
angles (deg): 90.00 118.47 90.00
Space group C2/c (No. 15)
Unique sites:
Ti  0.250  0.250  0.000
P  0.000  0.120  0.250
O  0.097  0.243  0.151
O  0.169  0.004  0.913
F  0.000  0.330  0.750

Main lines, in order of rising 2θ (2θ from 15° to 90°):
| two_theta | I (rel.) | index |
| --- | --- | --- |
| 18.3 | 36 | 1 1 0 |
| 18.5 | 36 | 1 1 -1 |
| 24.2 | 27 | 0 2 0 |
| 26.5 | 100 | 1 1 1 |
| 27.9 | 29 | 0 2 1 |
| 28.1 | 65 | 2 0 -2 |
| 39.4 | 18 | 1 3 -1 |
| 44.6 | 15 | 3 1 -3 |
| 54.6 | 15 | 2 2 2 |
| 57.6 | 25 | 3 3 -3 |